In4SnAu5: calculated X-ray powder pattern (Cu Kα), based on a crystal structure in Alexandria, relaxed with GGA-PBE.
Kinematic intensities with the Lorentz-polarization factor, no thermal factor.

Atomic structure:
Cell lengths 5.552, 6.243, 7.106 Å; angles 91.02, 92.38, 112.94 degrees
Space group P1 (No. 1)
Unique sites:
In (0.000, 0.000, 0.000) (multiplicity 1)
In (0.117, 0.417, 0.739) (multiplicity 1)
In (0.500, 0.089, 0.698) (multiplicity 1)
In (0.871, 0.450, 0.140) (multiplicity 1)
Sn (0.482, 0.624, 0.380) (multiplicity 1)
Au (0.046, 0.740, 0.494) (multiplicity 1)
Au (0.393, 0.146, 0.297) (multiplicity 1)
Au (0.413, 0.806, 0.019) (multiplicity 1)
Au (0.675, 0.580, 0.795) (multiplicity 1)
Au (0.879, 0.104, 0.406) (multiplicity 1)

Largest 6 diffraction maxima, sorted by position, 2θ from 15° to 90°:
30.1 deg, d 2.970, I = 704; 31.0 deg, d 2.889, I = 725; 31.5 deg, d 2.844, I = 782; 34.3 deg, d 2.615, I = 1000; 36.8 deg, d 2.443, I = 782; 39.6 deg, d 2.274, I = 720